Structure and calculated XRD peak list of KMg6FeO8 (the GGA+U geometry in Alexandria; Cu Kα (λ = 1.5418 Å)).
Lines closer than 0.1° are merged.

Principal peaks in the range 15° ≤ 2θ ≤ 90°, by angle:
2θ/deg, intensity, hkl
19.85, 11, 1 0 0
28.84, 9, 1 0 2
35.26, 31, 1 1 2
40.33, 100, 2 0 0
42.14, 41, 0 0 4
58.36, 29, 2 2 0
59.75, 51, 2 0 4
70.05, 11, 3 1 2
74.57, 24, 2 2 4
87.18, 8, 4 0 0

Structural model:
```
KMg6FeO8
1.0
4.472 0.000 0.000
0.000 4.472 0.000
0.000 0.000 8.577
K Mg Fe O
1 6 1 8
direct
0.000 0.000 0.000 K
0.000 0.500 0.252 Mg
0.000 0.500 0.748 Mg
0.500 0.000 0.252 Mg
0.500 0.000 0.748 Mg
0.500 0.500 0.000 Mg
0.500 0.500 0.500 Mg
0.000 0.000 0.500 Fe
0.000 0.000 0.280 O
0.000 0.000 0.720 O
0.000 0.500 0.000 O
0.000 0.500 0.500 O
0.500 0.000 0.000 O
0.500 0.000 0.500 O
0.500 0.500 0.251 O
0.500 0.500 0.749 O
```